Diffraction record for TiPdC. The PXRD pattern is computed, not measured: it uses DFT lattice parameters and positions (PBE) and λ = 1.5418 Å (Cu Kα).
Intensities are scaled so that the largest is 100.

Structure:
a b c (Å): 7.1732 12.8929 5.0861
angles (deg): 90.00 90.00 90.00
Space group Ima2 (No. 46)
Unique sites:
1 Ti 0.0375 0.1568 0.0000
2 Ti 0.2500 0.5536 0.1921
3 Pd 0.2500 0.1699 0.5522
4 Pd 0.2500 0.5012 0.7060
5 Pd 0.2500 0.7158 0.8273
6 C 0.0000 0.0000 0.9655
7 C 0.0482 0.6756 0.1078

Top 10 peaks for 2θ = 10–90°, sorted by position:
- 2θ 24.8, d = 3.587 Å, I = 68, hkl 2 0 0
- 2θ 31.3, d = 2.858 Å, I = 35, hkl 2 1 1
- 2θ 35.3, d = 2.545 Å, I = 40, hkl 1 4 1
- 2θ 37.1, d = 2.423 Å, I = 100, hkl 2 3 1
- 2θ 37.5, d = 2.397 Å, I = 27, hkl 2 4 0
- 2θ 38.2, d = 2.356 Å, I = 61, hkl 1 1 2
- 2θ 45.4, d = 1.996 Å, I = 22, hkl 0 4 2
- 2θ 46.9, d = 1.936 Å, I = 30, hkl 2 5 1
- 2θ 50.9, d = 1.795 Å, I = 49, hkl 4 0 0
- 2θ 81.7, d = 1.178 Å, I = 26, hkl 2 7 3



Diffraction record for Ba3LaIr2O9. The PXRD pattern is computed, not measured: it uses DFT lattice parameters and positions (PBE) and λ = 1.5418 Å (Cu Kα).
Intensities are scaled so that the largest is 100.

Structure:
a b c (Å): 6.0507 10.4208 15.0900
angles (deg): 90.00 91.89 90.00
Space group C2/c (No. 15)
Unique sites:
1 Ba 0.0000 0.0045 0.2500
2 Ba 0.0070 0.3343 0.5978
3 La 0.0000 0.0000 0.0000
4 Ir 0.0156 0.3343 0.1668
5 O 0.0000 0.4922 0.2500
6 O 0.0308 0.1770 0.0940
7 O 0.1971 0.4078 0.4213
8 O 0.2357 0.2587 0.2605
9 O 0.2382 0.0909 0.8989

Top 10 peaks for 2θ = 10–90°, sorted by position:
- 2θ 18.1, d = 4.911 Å, I = 28, hkl 1 1 1
- 2θ 28.8, d = 3.101 Å, I = 31, hkl 1 1 -4
- 2θ 29.2, d = 3.055 Å, I = 28, hkl 0 2 4
- 2θ 29.6, d = 3.022 Å, I = 74, hkl 2 0 0
- 2θ 29.7, d = 3.012 Å, I = 100, hkl 1 3 0
- 2θ 41.5, d = 2.178 Å, I = 16, hkl 2 2 -4
- 2θ 42.2, d = 2.143 Å, I = 16, hkl 0 4 4
- 2θ 52.5, d = 1.743 Å, I = 20, hkl 3 3 0
- 2θ 52.7, d = 1.737 Å, I = 15, hkl 0 6 0
- 2θ 61.6, d = 1.506 Å, I = 17, hkl 2 6 0



Diffraction record for FeCoNi14. The PXRD pattern is computed, not measured: it uses DFT lattice parameters and positions (PBE) and λ = 1.5418 Å (Cu Kα).
Intensities are scaled so that the largest is 100.

Structure:
a b c (Å): 8.1437 4.9782 8.6438
angles (deg): 90.00 90.00 90.00
Space group Amm2 (No. 38)
Unique sites:
1 Fe 0.0000 0.0000 0.0000
2 Co 0.0000 0.0000 0.5003
3 Ni 0.0000 0.2500 0.2496
4 Ni 0.2494 0.0000 0.1655
5 Ni 0.2487 0.0000 0.6653
6 Ni 0.2485 0.2494 0.4161
7 Ni 0.5000 0.0000 0.3327
8 Ni 0.5000 0.0000 0.8327
9 Ni 0.5000 0.2500 0.0827

Top 10 peaks for 2θ = 10–90°, sorted by position:
- 2θ 41.9, d = 2.158 Å, I = 9, hkl 0 2 2
- 2θ 43.4, d = 2.086 Å, I = 44, hkl 1 2 2
- 2θ 44.5, d = 2.036 Å, I = 36, hkl 4 0 0
- 2θ 47.7, d = 1.907 Å, I = 100, hkl 2 0 4
- 2θ 54.3, d = 1.689 Å, I = 21, hkl 3 2 2
- 2θ 62.7, d = 1.481 Å, I = 5, hkl 4 2 2
- 2θ 72.7, d = 1.300 Å, I = 8, hkl 5 2 2
- 2θ 76.4, d = 1.247 Å, I = 13, hkl 0 2 6
- 2θ 76.5, d = 1.245 Å, I = 6, hkl 0 4 0
- 2θ 84.3, d = 1.149 Å, I = 17, hkl 6 0 4



Diffraction record for SrGa3P. The PXRD pattern is computed, not measured: it uses DFT lattice parameters and positions (PBE) and λ = 1.5418 Å (Cu Kα).
Intensities are scaled so that the largest is 100.

Structure:
a b c (Å): 4.9472 4.9472 4.9472
angles (deg): 90.00 90.00 90.00
Space group Pm-3m (No. 221)
Unique sites:
1 Sr 0.0000 0.0000 0.0000
2 Ga 0.0000 0.5000 0.5000
3 P 0.5000 0.5000 0.5000

Top 10 peaks for 2θ = 10–90°, sorted by position:
- 2θ 25.5, d = 3.498 Å, I = 7, hkl 1 1 0
- 2θ 31.3, d = 2.856 Å, I = 100, hkl 1 1 1
- 2θ 36.3, d = 2.474 Å, I = 75, hkl 2 0 0
- 2θ 44.9, d = 2.020 Å, I = 3, hkl 2 1 1
- 2θ 52.3, d = 1.749 Å, I = 51, hkl 2 2 0
- 2θ 62.2, d = 1.492 Å, I = 41, hkl 3 1 1
- 2θ 65.3, d = 1.428 Å, I = 17, hkl 2 2 2
- 2θ 77.1, d = 1.237 Å, I = 8, hkl 4 0 0
- 2θ 85.6, d = 1.135 Å, I = 16, hkl 3 3 1
- 2θ 88.4, d = 1.106 Å, I = 23, hkl 4 2 0



Diffraction record for TbSmHoEr. The PXRD pattern is computed, not measured: it uses DFT lattice parameters and positions (PBE) and λ = 1.5418 Å (Cu Kα).
Intensities are scaled so that the largest is 100.

Structure:
a b c (Å): 5.0290 5.0290 10.0315
angles (deg): 90.00 90.00 90.00
Space group I-4m2 (No. 119)
Unique sites:
1 Tb 0.0000 0.0000 0.0000
2 Sm 0.0000 0.5000 0.7500
3 Ho 0.0000 0.0000 0.5000
4 Er 0.0000 0.5000 0.2500

Top 10 peaks for 2θ = 10–90°, sorted by position:
- 2θ 30.8, d = 2.901 Å, I = 100, hkl 1 1 2
- 2θ 35.7, d = 2.512 Å, I = 51, hkl 2 0 0
- 2θ 51.4, d = 1.776 Å, I = 36, hkl 2 2 0
- 2θ 61.1, d = 1.516 Å, I = 29, hkl 3 1 2
- 2θ 61.3, d = 1.513 Å, I = 14, hkl 1 1 6
- 2θ 64.2, d = 1.450 Å, I = 12, hkl 2 2 4
- 2θ 83.9, d = 1.154 Å, I = 6, hkl 3 3 2
- 2θ 84.0, d = 1.152 Å, I = 12, hkl 3 1 6
- 2θ 86.6, d = 1.124 Å, I = 11, hkl 4 2 0
- 2θ 86.8, d = 1.122 Å, I = 6, hkl 2 0 8



Diffraction record for La2Pm5DySc. The PXRD pattern is computed, not measured: it uses DFT lattice parameters and positions (PBE) and λ = 1.5418 Å (Cu Kα).
Intensities are scaled so that the largest is 100.

Structure:
a b c (Å): 5.4714 22.1184 10.1689
angles (deg): 90.00 90.00 90.00
Space group Cmcm (No. 63)
Unique sites:
1 La 0.0000 0.1167 0.0064
2 Pm 0.0000 0.0006 0.7500
3 Pm 0.0000 0.2762 0.0635
4 Pm 0.0000 0.3724 0.7500
5 Pm 0.0000 0.5000 0.0000
6 Dy 0.0000 0.3969 0.2500
7 Sc 0.0000 0.2136 0.7500

Top 10 peaks for 2θ = 10–90°, sorted by position:
- 2θ 26.8, d = 3.324 Å, I = 34, hkl 1 3 2
- 2θ 31.4, d = 2.850 Å, I = 100, hkl 1 5 2
- 2θ 32.4, d = 2.765 Å, I = 15, hkl 0 8 0
- 2θ 32.7, d = 2.736 Å, I = 33, hkl 2 0 0
- 2θ 35.3, d = 2.542 Å, I = 14, hkl 0 0 4
- 2θ 46.7, d = 1.945 Å, I = 11, hkl 2 8 0
- 2θ 48.7, d = 1.871 Å, I = 9, hkl 0 8 4
- 2θ 48.9, d = 1.862 Å, I = 11, hkl 2 0 4
- 2θ 57.6, d = 1.600 Å, I = 16, hkl 3 5 2
- 2θ 59.8, d = 1.548 Å, I = 12, hkl 1 13 2



Q: What is the formula in the third record?
A: FeCoNi14